# 1
This entry pairs a crystal structure of Pm4Nd3Th2 with its theoretical X-ray powder pattern. Radiation: Cu Kα X-rays. Structure: a DFT-relaxed cell (PBE, Alexandria).
No peak broadening, texture or thermal motion is included.

Top 10 peaks for 15 to 90 degrees two-theta, by intensity:
2theta	d/Å	I (rel.)
32.95	2.719	100
31.41	2.848	72
29.31	3.047	61
28.51	3.130	54
59.46	1.554	48
50.50	1.807	40
41.35	2.183	38
55.33	1.661	32
82.84	1.165	26
61.62	1.505	17

```
data_Pm4Nd3Th2
_chemical_formula_sum 'Pm4 Nd3 Th2'
_cell_length_a 3.6147
_cell_length_b 3.6147
_cell_length_c 27.4233
_cell_angle_alpha 90.00
_cell_angle_beta 90.00
_cell_angle_gamma 120.00
_space_group_name_H-M_alt 'P 3 m 1'
_space_group_IT_number 156
loop_
_space_group_symop_operation_xyz
'x,y,z'
'-y,x-y,z'
'-x+y,-x,z'
'-y,-x,z'
'-x+y,y,z'
'x,x-y,z'
loop_
_atom_site_label
_atom_site_fract_x
_atom_site_fract_y
_atom_site_fract_z
Pm1 0.0000 0.0000 0.0000
Pm2 0.0000 0.0000 0.2197
Pm3 0.3333 0.6667 0.3280
Pm4 0.3333 0.6667 0.5502
Nd1 0.0000 0.0000 0.4385
Nd2 0.3333 0.6667 0.1068
Nd3 0.3333 0.6667 0.7673
Th1 0.0000 0.0000 0.6574
Th2 0.0000 0.0000 0.8767
```

# 2
This entry pairs a crystal structure of I with its theoretical X-ray powder pattern. Radiation: Cu Kα X-rays. Structure: a DFT-relaxed cell (PBE, Alexandria).
No peak broadening, texture or thermal motion is included.

Top 10 peaks for 15 to 90 degrees two-theta, by intensity:
2theta	d/Å	I (rel.)
20.23	4.390	100
28.84	3.096	35
28.71	3.109	27
17.70	5.010	26
26.55	3.358	25
41.13	2.195	24
17.41	5.094	20
34.19	2.622	19
28.37	3.146	17
41.26	2.188	17

```
data_I
_chemical_formula_sum 'I8'
_cell_length_a 6.792
_cell_length_b 7.334
_cell_length_c 9.660
_cell_angle_alpha 74.58
_cell_angle_beta 84.38
_cell_angle_gamma 83.71
_space_group_name_H-M_alt 'P -1'
_space_group_IT_number 2
loop_
_space_group_symop_operation_xyz
'x,y,z'
'-x,-y,-z'
loop_
_atom_site_label
_atom_site_fract_x
_atom_site_fract_y
_atom_site_fract_z
I1 0.075 0.278 0.311
I2 0.216 0.979 0.716
I3 0.294 0.774 0.010
I4 0.356 0.553 0.310
```

# 3
This entry pairs a crystal structure of Pm12Sn5N2 with its theoretical X-ray powder pattern. Radiation: Cu Kα X-rays. Structure: a DFT-relaxed cell (PBE, Alexandria).
No peak broadening, texture or thermal motion is included.

Top 10 peaks for 15 to 90 degrees two-theta, by intensity:
2theta	d/Å	I (rel.)
30.49	2.932	100
31.74	2.819	95
32.07	2.791	71
34.08	2.631	51
34.18	2.623	50
37.76	2.383	42
21.99	4.041	42
47.70	1.907	33
24.48	3.636	32
19.71	4.505	31

```
data_Pm12Sn5N2
_chemical_formula_sum 'Pm24 Sn10 N4'
_cell_length_a 17.439
_cell_length_b 7.627
_cell_length_c 9.531
_cell_angle_alpha 90.00
_cell_angle_beta 106.19
_cell_angle_gamma 90.00
_space_group_name_H-M_alt 'C 1 2/m 1'
_space_group_IT_number 12
loop_
_space_group_symop_operation_xyz
'x,y,z'
'-x,-y,-z'
'-x,y,-z'
'x,-y,z'
'x+1/2,y+1/2,z'
'-x+1/2,-y+1/2,-z'
'-x+1/2,y+1/2,-z'
'x+1/2,-y+1/2,z'
loop_
_atom_site_label
_atom_site_fract_x
_atom_site_fract_y
_atom_site_fract_z
Pm1 0.001 0.000 0.182
Pm2 0.001 0.500 0.831
Pm3 0.149 0.258 0.075
Pm4 0.151 0.255 0.576
Sn1 0.000 0.500 0.500
Sn2 0.186 0.000 0.843
Sn3 0.191 0.000 0.346
N1 0.000 0.241 0.000
```